# 1
This entry pairs a crystal structure of Li3CoN2 with its computed powder X-ray diffraction pattern. Radiation: λ = 1.5418 Å (Cu Kα). Structure: a PBE-relaxed structure.
Neutral-atom scattering factors, no anomalous dispersion.

Top 8 peaks for 5 to 70 degrees two-theta, in order of falling intensity:
| d/Å | two_theta | I_rel |
| --- | --- | --- |
| 3.852 | 23.09 | 100.0 |
| 2.522 | 35.60 | 51.2 |
| 1.668 | 55.06 | 36.2 |
| 1.531 | 60.48 | 18.2 |
| 2.359 | 38.15 | 17.3 |
| 2.012 | 45.07 | 14.1 |
| 1.723 | 53.17 | 10.4 |
| 2.724 | 32.88 | 9.8 |

Atomic structure:
a b c (Å): 8.171 8.171 8.171
angles (deg): 109.47 109.47 109.47
Fractional coordinates of all 48 atoms:
Li: 0.015 0.757 0.035
Li: 0.020 0.535 0.778
Li: 0.035 0.015 0.757
Li: 0.222 0.980 0.465
Li: 0.242 0.722 0.257
Li: 0.243 0.965 0.985
Li: 0.257 0.242 0.722
Li: 0.258 0.515 0.480
Li: 0.278 0.743 0.758
Li: 0.465 0.222 0.980
Li: 0.480 0.258 0.515
Li: 0.485 0.520 0.742
Li: 0.515 0.480 0.258
Li: 0.520 0.742 0.485
Li: 0.535 0.778 0.020
Li: 0.722 0.257 0.242
Li: 0.742 0.485 0.520
Li: 0.743 0.758 0.278
Li: 0.757 0.035 0.015
Li: 0.758 0.278 0.743
Li: 0.778 0.020 0.535
Li: 0.965 0.985 0.243
Li: 0.980 0.465 0.222
Li: 0.985 0.243 0.965
Co: 0.000 0.274 0.500
Co: 0.000 0.726 0.500
Co: 0.226 0.226 0.226
Co: 0.274 0.500 0.000
Co: 0.500 0.000 0.274
Co: 0.500 0.000 0.726
Co: 0.726 0.500 0.000
Co: 0.774 0.774 0.774
N: 0.000 0.000 0.000
N: 0.000 0.500 0.500
N: 0.033 0.283 0.750
N: 0.217 0.250 0.467
N: 0.250 0.467 0.217
N: 0.250 0.967 0.717
N: 0.283 0.750 0.033
N: 0.467 0.217 0.250
N: 0.500 0.000 0.500
N: 0.500 0.500 0.000
N: 0.533 0.783 0.750
N: 0.717 0.250 0.967
N: 0.750 0.033 0.283
N: 0.750 0.533 0.783
N: 0.783 0.750 0.533
N: 0.967 0.717 0.250

# 2
This entry pairs a crystal structure of Li2Co12P7 with its computed powder X-ray diffraction pattern. Radiation: λ = 1.5418 Å (Cu Kα). Structure: a PBE-relaxed structure.
Neutral-atom scattering factors, no anomalous dispersion.

Top 8 peaks for 5 to 70 degrees two-theta, in order of falling intensity:
| d/Å | two_theta | I_rel |
| --- | --- | --- |
| 2.234 | 40.37 | 100.0 |
| 1.821 | 50.09 | 39.7 |
| 4.446 | 19.97 | 39.7 |
| 7.701 | 11.49 | 26.8 |
| 1.767 | 51.74 | 23.5 |
| 1.743 | 52.51 | 23.0 |
| 1.681 | 54.61 | 21.3 |
| 2.067 | 43.80 | 15.2 |

Atomic structure:
a b c (Å): 8.893 8.893 3.486
angles (deg): 90.00 90.00 120.00
Fractional coordinates of all 21 atoms:
Li: 0.000 0.000 0.000
Li: 0.333 0.667 0.500
Co: 0.054 0.772 0.500
Co: 0.103 0.395 0.000
Co: 0.228 0.282 0.500
Co: 0.292 0.897 0.000
Co: 0.390 0.215 0.000
Co: 0.536 0.104 0.500
Co: 0.568 0.464 0.500
Co: 0.605 0.708 0.000
Co: 0.718 0.946 0.500
Co: 0.785 0.175 0.000
Co: 0.825 0.610 0.000
Co: 0.896 0.432 0.500
P: 0.080 0.627 0.000
P: 0.259 0.044 0.500
P: 0.373 0.453 0.000
P: 0.547 0.920 0.000
P: 0.667 0.333 0.000
P: 0.785 0.741 0.500
P: 0.956 0.215 0.500

# 3
This entry pairs a crystal structure of LiCo2S4 with its computed powder X-ray diffraction pattern. Radiation: λ = 1.5418 Å (Cu Kα). Structure: a PBE-relaxed structure.
Neutral-atom scattering factors, no anomalous dispersion.

Top 8 peaks for 5 to 70 degrees two-theta, in order of falling intensity:
| d/Å | two_theta | I_rel |
| --- | --- | --- |
| 5.551 | 15.97 | 100.0 |
| 2.404 | 37.42 | 77.8 |
| 1.700 | 53.95 | 49.5 |
| 2.899 | 30.85 | 32.1 |
| 1.850 | 49.25 | 27.3 |
| 1.625 | 56.64 | 17.0 |
| 1.388 | 67.50 | 13.5 |
| 1.346 | 69.87 | 11.2 |

Atomic structure:
a b c (Å): 6.798 6.798 6.798
angles (deg): 60.00 60.00 60.00
Fractional coordinates of all 14 atoms:
Li: 0.125 0.125 0.125
Li: 0.875 0.875 0.875
Co: 0.000 0.500 0.500
Co: 0.500 0.000 0.500
Co: 0.500 0.500 0.000
Co: 0.500 0.500 0.500
S: 0.266 0.266 0.266
S: 0.266 0.266 0.702
S: 0.266 0.702 0.266
S: 0.298 0.734 0.734
S: 0.702 0.266 0.266
S: 0.734 0.298 0.734
S: 0.734 0.734 0.298
S: 0.734 0.734 0.734

# 4
This entry pairs a crystal structure of LiCoS2 with its computed powder X-ray diffraction pattern. Radiation: λ = 1.5418 Å (Cu Kα). Structure: a PBE-relaxed structure.
Neutral-atom scattering factors, no anomalous dispersion.

Top 8 peaks for 5 to 70 degrees two-theta, in order of falling intensity:
| d/Å | two_theta | I_rel |
| --- | --- | --- |
| 6.209 | 14.26 | 100.0 |
| 2.498 | 35.95 | 53.8 |
| 1.979 | 45.85 | 28.1 |
| 1.709 | 53.63 | 20.9 |
| 2.923 | 30.58 | 20.8 |
| 1.830 | 49.83 | 14.3 |
| 1.648 | 55.79 | 14.3 |
| 1.470 | 63.27 | 10.3 |

Atomic structure:
a b c (Å): 6.515 6.515 6.515
angles (deg): 30.42 30.42 30.42
Fractional coordinates of all 4 atoms:
Li: 0.000 0.000 0.000
Co: 0.856 0.856 0.856
S: 0.129 0.129 0.129
S: 0.587 0.587 0.587

# 5
This entry pairs a crystal structure of Li3Co4S8 with its computed powder X-ray diffraction pattern. Radiation: λ = 1.5418 Å (Cu Kα). Structure: a PBE-relaxed structure.
Neutral-atom scattering factors, no anomalous dispersion.

Top 8 peaks for 5 to 70 degrees two-theta, in order of falling intensity:
| d/Å | two_theta | I_rel |
| --- | --- | --- |
| 6.255 | 14.16 | 100.0 |
| 2.485 | 36.15 | 51.5 |
| 1.978 | 45.88 | 26.1 |
| 1.691 | 54.23 | 18.7 |
| 2.894 | 30.89 | 18.6 |
| 1.633 | 56.35 | 13.6 |
| 1.831 | 49.80 | 13.4 |
| 1.474 | 63.06 | 10.1 |

Atomic structure:
a b c (Å): 7.375 7.375 7.375
angles (deg): 54.60 54.60 54.60
Fractional coordinates of all 15 atoms:
Li: 0.168 0.168 0.664
Li: 0.168 0.664 0.168
Li: 0.664 0.168 0.168
Co: 0.019 0.019 0.527
Co: 0.019 0.527 0.019
Co: 0.524 0.524 0.524
Co: 0.527 0.019 0.019
S: 0.251 0.753 0.753
S: 0.254 0.254 0.254
S: 0.295 0.295 0.795
S: 0.295 0.795 0.295
S: 0.753 0.251 0.753
S: 0.753 0.753 0.251
S: 0.795 0.295 0.295
S: 0.795 0.795 0.795

# 6
This entry pairs a crystal structure of LiCoS2 with its computed powder X-ray diffraction pattern. Radiation: λ = 1.5418 Å (Cu Kα). Structure: a PBE-relaxed structure.
Neutral-atom scattering factors, no anomalous dispersion.

Top 8 peaks for 5 to 70 degrees two-theta, in order of falling intensity:
| d/Å | two_theta | I_rel |
| --- | --- | --- |
| 5.687 | 15.58 | 100.0 |
| 2.619 | 34.23 | 71.6 |
| 2.048 | 44.23 | 63.4 |
| 1.704 | 53.81 | 29.9 |
| 1.595 | 57.81 | 21.6 |
| 1.632 | 56.37 | 17.2 |
| 2.951 | 30.29 | 11.0 |
| 1.428 | 65.34 | 9.3 |

Atomic structure:
a b c (Å): 5.687 3.408 5.902
angles (deg): 90.00 90.02 90.00
Fractional coordinates of all 8 atoms:
Li: 0.000 0.242 0.250
Li: 0.000 0.758 0.750
Co: 0.500 0.249 0.250
Co: 0.500 0.751 0.750
S: 0.298 0.251 0.583
S: 0.298 0.749 0.083
S: 0.702 0.251 0.917
S: 0.702 0.749 0.417

# 7
This entry pairs a crystal structure of LiCoS2 with its computed powder X-ray diffraction pattern. Radiation: λ = 1.5418 Å (Cu Kα). Structure: a PBE-relaxed structure.
Neutral-atom scattering factors, no anomalous dispersion.

Top 8 peaks for 5 to 70 degrees two-theta, in order of falling intensity:
| d/Å | two_theta | I_rel |
| --- | --- | --- |
| 7.804 | 11.34 | 100.0 |
| 3.900 | 22.80 | 47.2 |
| 2.559 | 35.07 | 29.5 |
| 2.579 | 34.79 | 27.6 |
| 2.251 | 40.06 | 24.6 |
| 1.886 | 48.26 | 14.8 |
| 1.874 | 48.59 | 13.4 |
| 1.690 | 54.28 | 13.3 |

Atomic structure:
a b c (Å): 3.413 4.502 7.804
angles (deg): 90.00 90.46 90.00
Fractional coordinates of all 8 atoms:
Li: 0.016 0.250 0.376
Li: 0.984 0.750 0.624
Co: 0.243 0.250 0.870
Co: 0.757 0.750 0.130
S: 0.249 0.750 0.944
S: 0.260 0.750 0.326
S: 0.740 0.250 0.674
S: 0.751 0.250 0.056

# 8
This entry pairs a crystal structure of LiCoS2 with its computed powder X-ray diffraction pattern. Radiation: λ = 1.5418 Å (Cu Kα). Structure: a PBE-relaxed structure.
Neutral-atom scattering factors, no anomalous dispersion.

Top 8 peaks for 5 to 70 degrees two-theta, in order of falling intensity:
| d/Å | two_theta | I_rel |
| --- | --- | --- |
| 8.082 | 10.95 | 100.0 |
| 3.850 | 23.10 | 41.4 |
| 2.581 | 34.75 | 20.2 |
| 2.599 | 34.51 | 20.0 |
| 2.189 | 41.23 | 19.8 |
| 1.892 | 48.08 | 14.5 |
| 1.902 | 47.81 | 14.2 |
| 2.113 | 42.80 | 12.7 |

Atomic structure:
a b c (Å): 3.374 4.379 8.082
angles (deg): 90.00 90.39 90.00
Fractional coordinates of all 8 atoms:
Li: 0.223 0.250 0.371
Li: 0.777 0.750 0.629
Co: 0.252 0.750 0.129
Co: 0.748 0.250 0.871
S: 0.246 0.250 0.678
S: 0.251 0.250 0.052
S: 0.749 0.750 0.948
S: 0.754 0.750 0.322

# 9
This entry pairs a crystal structure of LiCo2S4 with its computed powder X-ray diffraction pattern. Radiation: λ = 1.5418 Å (Cu Kα). Structure: a PBE-relaxed structure.
Neutral-atom scattering factors, no anomalous dispersion.

Top 8 peaks for 5 to 70 degrees two-theta, in order of falling intensity:
| d/Å | two_theta | I_rel |
| --- | --- | --- |
| 1.680 | 54.61 | 100.0 |
| 1.672 | 54.92 | 98.9 |
| 3.313 | 26.91 | 94.0 |
| 2.881 | 31.04 | 92.2 |
| 2.844 | 31.46 | 87.5 |
| 2.904 | 30.79 | 85.8 |
| 2.364 | 38.06 | 85.7 |
| 5.539 | 16.00 | 84.9 |

Atomic structure:
a b c (Å): 6.689 6.689 6.626
angles (deg): 119.34 119.34 89.85
Fractional coordinates of all 14 atoms:
Li: 0.000 0.000 0.000
Li: 0.000 0.000 0.500
Co: 0.000 0.500 0.000
Co: 0.374 0.626 0.750
Co: 0.500 0.000 0.500
Co: 0.626 0.374 0.250
S: 0.247 0.267 0.004
S: 0.253 0.741 0.474
S: 0.259 0.747 0.026
S: 0.267 0.247 0.504
S: 0.733 0.753 0.496
S: 0.741 0.253 0.974
S: 0.747 0.259 0.526
S: 0.753 0.733 0.996

# 10
This entry pairs a crystal structure of LiCoS2 with its computed powder X-ray diffraction pattern. Radiation: λ = 1.5418 Å (Cu Kα). Structure: a PBE-relaxed structure.
Neutral-atom scattering factors, no anomalous dispersion.

Top 8 peaks for 5 to 70 degrees two-theta, in order of falling intensity:
| d/Å | two_theta | I_rel |
| --- | --- | --- |
| 5.673 | 15.62 | 100.0 |
| 2.628 | 34.11 | 72.5 |
| 2.050 | 44.18 | 63.8 |
| 1.712 | 53.51 | 30.5 |
| 1.595 | 57.82 | 21.6 |
| 1.639 | 56.10 | 17.5 |
| 2.966 | 30.13 | 11.1 |
| 1.435 | 65.00 | 9.4 |

Atomic structure:
a b c (Å): 3.425 3.425 5.673
angles (deg): 90.00 90.00 120.00
Fractional coordinates of all 4 atoms:
Li: 0.000 0.000 0.000
Co: 0.000 0.000 0.500
S: 0.333 0.667 0.702
S: 0.667 0.333 0.298

# 11
This entry pairs a crystal structure of LiCoS2 with its computed powder X-ray diffraction pattern. Radiation: λ = 1.5418 Å (Cu Kα). Structure: a PBE-relaxed structure.
Neutral-atom scattering factors, no anomalous dispersion.

Top 8 peaks for 5 to 70 degrees two-theta, in order of falling intensity:
| d/Å | two_theta | I_rel |
| --- | --- | --- |
| 5.602 | 15.82 | 100.0 |
| 2.426 | 37.06 | 96.1 |
| 1.715 | 53.41 | 57.1 |
| 2.926 | 30.56 | 25.5 |
| 1.867 | 48.76 | 23.8 |
| 1.401 | 66.79 | 17.4 |
| 1.640 | 56.07 | 17.3 |
| 1.359 | 69.13 | 11.4 |

Atomic structure:
a b c (Å): 6.861 6.861 6.861
angles (deg): 60.00 60.00 60.00
Fractional coordinates of all 16 atoms:
Li: 0.000 0.000 0.000
Li: 0.000 0.000 0.500
Li: 0.000 0.500 0.000
Li: 0.500 0.000 0.000
Co: 0.000 0.500 0.500
Co: 0.500 0.000 0.500
Co: 0.500 0.500 0.000
Co: 0.500 0.500 0.500
S: 0.265 0.265 0.265
S: 0.265 0.265 0.705
S: 0.265 0.705 0.265
S: 0.295 0.735 0.735
S: 0.705 0.265 0.265
S: 0.735 0.295 0.735
S: 0.735 0.735 0.295
S: 0.735 0.735 0.735

# 12
This entry pairs a crystal structure of LuCo3 with its computed powder X-ray diffraction pattern. Radiation: λ = 1.5418 Å (Cu Kα). Structure: a PBE-relaxed structure.
Neutral-atom scattering factors, no anomalous dispersion.

Top 8 peaks for 5 to 70 degrees two-theta, in order of falling intensity:
| d/Å | two_theta | I_rel |
| --- | --- | --- |
| 2.099 | 43.09 | 100.0 |
| 2.462 | 36.50 | 95.1 |
| 2.683 | 33.40 | 51.8 |
| 2.122 | 42.60 | 36.3 |
| 1.421 | 65.72 | 23.7 |
| 1.951 | 46.54 | 21.7 |
| 1.460 | 63.77 | 16.0 |
| 4.196 | 21.17 | 15.5 |

Atomic structure:
a b c (Å): 8.542 8.542 8.542
angles (deg): 33.48 33.48 33.48
Fractional coordinates of all 12 atoms:
Lu: 0.000 0.000 0.000
Lu: 0.140 0.140 0.140
Lu: 0.860 0.860 0.860
Co: 0.079 0.583 0.583
Co: 0.335 0.335 0.335
Co: 0.417 0.417 0.921
Co: 0.417 0.921 0.417
Co: 0.500 0.500 0.500
Co: 0.583 0.079 0.583
Co: 0.583 0.583 0.079
Co: 0.665 0.665 0.665
Co: 0.921 0.417 0.417